Calculated powder diffraction line list of InFeBi2O6 for CuKα, from DFT lattice parameters and positions (PBE+U).
Intensities are scaled so that the largest is 100.

The 10 most intense peaks (10 to 90 degrees two-theta), sorted by position:
| 2θ (°) | intensity | h k l |
| --- | --- | --- |
| 21.6 | 49.8 | 0 1 2 |
| 30.5 | 98.5 | 1 0 4 |
| 31.0 | 100.0 | 1 1 0 |
| 38.1 | 16.9 | 2 0 2 |
| 44.0 | 44.0 | 0 2 4 |
| 49.2 | 31.4 | 2 -1 6 |
| 53.8 | 15.8 | 0 1 8 |
| 54.8 | 42.4 | 3 -1 4 |
| 55.2 | 25.4 | 3 0 0 |
| 73.1 | 16.4 | 1 3 4 |

Structure:
Lattice parameters (Å, degrees): 5.7689 5.7689 14.4916 90.00 90.00 120.00
Space group R3 (No. 146, hexagonal axes)
One atom of each set of equivalent atoms:
In 0.0000 0.0000 0.0000 x3
Fe 0.0000 0.0000 0.4975 x3
Bi 0.0000 0.0000 0.2803 x3
Bi 0.0000 0.0000 0.7803 x3
O 0.0873 0.3461 0.5599 x9
O 0.0926 0.7219 0.0640 x9